This entry pairs a crystal structure of Ba2W3O7 with its computed PXRD pattern. Radiation: Cu Kα. Structure: a cell relaxed with PBE+U.
Peak positions follow from Bragg's law for the DFT cell and can differ from measured ones.

Structure:
```
data_Ba2W3O7
_cell_length_a 4.0098
_cell_length_b 4.0332
_cell_length_c 12.2889
_cell_angle_alpha 90.00
_cell_angle_beta 90.00
_cell_angle_gamma 90.00
_symmetry_space_group_name_H-M 'P m m m'
_symmetry_Int_Tables_number 47
loop_
_symmetry_equiv_pos_as_xyz
'x,y,z'
'-x,-y,-z'
'-x,-y,z'
'x,y,-z'
'x,-y,-z'
'-x,y,z'
'-x,y,-z'
'x,-y,z'
loop_
_atom_site_label
_atom_site_type_symbol
_atom_site_fract_x
_atom_site_fract_y
_atom_site_fract_z
_atom_site_occupancy
Ba1 Ba 0.0000 0.0000 0.1991 1
W1 W 0.5000 0.5000 0.0000 1
W2 W 0.5000 0.5000 0.3834 1
O1 O 0.0000 0.5000 0.0000 1
O2 O 0.0000 0.5000 0.3677 1
O3 O 0.5000 0.0000 0.3539 1
O4 O 0.5000 0.5000 0.1566 1
```

Top 12 peaks for 2θ = 10–90°, low angle first:
| index | 2θ (°) | I_rel |
| --- | --- | --- |
| 0 1 0 | 22.0 | 20 |
| 0 1 2 | 26.4 | 45 |
| 1 0 2 | 26.5 | 35 |
| 0 1 3 | 31.2 | 100 |
| 1 1 0 | 31.5 | 84 |
| 0 0 5 | 36.6 | 32 |
| 0 2 0 | 45.0 | 23 |
| 2 0 0 | 45.2 | 23 |
| 1 1 5 | 49.0 | 46 |
| 1 2 3 | 55.7 | 19 |
| 2 1 3 | 55.9 | 20 |
| 2 0 5 | 59.5 | 19 |